Starting from a crystal structure in Alexandria, relaxed with PBE, the powder diffractogram of PmTm3Al8 was computed for copper Kα.

Structure:
Lattice parameters (Å, degrees): 5.5423 5.5423 9.0902 90.00 90.00 120.00
Space group P3m1 (No. 156)
Unique sites:
Pm (0.0000, 0.0000, 0.0000)
Tm (0.0000, 0.0000, 0.3649)
Tm (0.6667, 0.3333, 0.4985)
Tm (0.6667, 0.3333, 0.8628)
Al (0.1621, 0.3242, 0.6796)
Al (0.3333, 0.6667, 0.4338)
Al (0.3333, 0.6667, 0.9306)
Al (0.5045, 0.0090, 0.1857)

The 10 most intense peaks (10 to 90 degrees two-theta), in order of rising 2θ:
2theta	I/Imax
18.49	42
19.53	20
20.93	34
32.31	76
35.02	100
38.03	66
38.81	30
59.38	42
64.28	19
78.48	19